For GdSnSO, a crystal structure in OQMD, relaxed with GGA-PBE gives the calculated powder XRD pattern in this record (Cu Kα (weighted mean of Kα1 and Kα2)).

Atomic structure:
a b c (Å): 6.0174 6.1086 17.3571
angles (deg): 90.00 90.00 90.00
Space group Pbca (No. 61)
Unique sites:
Gd 0.0308 0.1196 0.1984
Sn 0.2172 0.1110 0.9739
S 0.1020 0.5139 0.1043
O 0.2483 0.1384 0.7648

Largest 10 diffraction maxima, low angle first, 10 to 90 degrees two-theta:
2θ/deg	d/Å	intensity	hkl
20.47	4.339	39	0 0 4
29.28	3.050	57	1 1 4
29.70	3.008	27	0 2 1
31.47	2.843	71	2 0 2
33.20	2.699	100	1 1 5
33.30	2.691	51	1 2 1
42.15	2.144	30	1 2 5
42.49	2.127	46	2 2 1
51.91	1.761	26	2 0 8
56.43	1.631	27	0 2 9